This entry pairs a crystal structure of YMgCr2Hg with its simulated X-ray diffraction stick pattern. Radiation: Cu Kα, 1.54184 Å. Structure: a structure optimized by DFT (GGA-PBE).
Kinematic intensities with the Lorentz-polarization factor, no thermal factor.

```
data_YMgCr2Hg
_chemical_formula_sum 'Y1 Mg1 Cr2 Hg1'
_cell_length_a 5.1871
_cell_length_b 5.1871
_cell_length_c 5.5717
_cell_angle_alpha 90.00
_cell_angle_beta 90.00
_cell_angle_gamma 90.00
_symmetry_space_group_name_H-M 'P 4/m m m'
_symmetry_Int_Tables_number 123
_symmetry_space_group_name_Hall '-P 4 2'
loop_
_atom_site_label
_atom_site_fract_x
_atom_site_fract_y
_atom_site_fract_z
_atom_site_occupancy
Y1 0.0000 0.0000 0.0000 1
Mg1 0.5000 0.5000 0.5000 1
Cr1 0.0000 0.5000 0.0000 1
Hg1 0.0000 0.0000 0.5000 1
```

Top 10 peaks for 10 to 90 degrees two-theta, sorted by position:
2θ/deg  intensity
17.09  100
24.27  27
29.15  48
32.13  28
34.58  46
36.61  31
38.82  26
47.92  36
51.25  24
60.43  18